# NpCdRh2
Simulated X-ray diffraction stick pattern, copper Kα. Input: a PBE-relaxed structure.

Cell and atoms:
Cell: 3.370 3.370 6.469 Å, 90.00 90.00 90.00°
Atoms (fractional coordinates):
Np: 0.000 0.000 0.000
Cd: 0.000 0.000 0.500
Rh: 0.500 0.500 0.243
Rh: 0.500 0.500 0.757

Principal peaks in the range 10 to 90 degrees two-theta, low angle first:
2θ 13.69, I = 14, hkl 0 0 1
2θ 26.44, I = 7, hkl 1 0 0
2θ 29.89, I = 7, hkl 1 0 1
2θ 37.75, I = 53, hkl 1 1 0
2θ 38.58, I = 100, hkl 1 0 2
2θ 54.45, I = 18, hkl 2 0 0
2θ 56.94, I = 8, hkl 0 0 4
2θ 68.70, I = 36, hkl 2 1 2
2θ 70.35, I = 17, hkl 1 1 4
2θ 82.71, I = 11, hkl 2 0 4

***

# CaPm2SnO6
Simulated X-ray diffraction stick pattern, copper Kα. Input: a PBE-relaxed structure.

Cell and atoms:
Cell: 5.492 5.492 5.365 Å, 90.00 90.00 90.00°
Atoms (fractional coordinates):
Ca: 0.000 0.000 0.000
Pm: 0.000 0.500 0.429
Pm: 0.500 0.000 0.429
Sn: 0.500 0.500 0.032
O: 0.000 0.000 0.587
O: 0.260 0.260 0.185
O: 0.260 0.740 0.185
O: 0.500 0.500 0.660
O: 0.740 0.260 0.185
O: 0.740 0.740 0.185

Principal peaks in the range 10 to 90 degrees two-theta, low angle first:
2θ 16.52, I = 24, hkl 0 0 1
2θ 28.37, I = 100, hkl 1 1 1
2θ 32.61, I = 35, hkl 2 0 0
2θ 33.40, I = 9, hkl 0 0 2
2θ 40.89, I = 20, hkl 1 1 2
2θ 46.78, I = 21, hkl 2 2 0
2θ 47.37, I = 25, hkl 2 0 2
2θ 55.62, I = 31, hkl 3 1 1
2θ 61.92, I = 9, hkl 2 0 3
2θ 63.84, I = 10, hkl 3 1 2